CoSe2: simulated powder diffractogram (Cu Kα, 1.54184 Å), based on a DFT-relaxed cell (GGA-PBE, the Materials Project).
Kinematic intensities with the Lorentz-polarization factor, no thermal factor.

Top 10 peaks for 2θ = 10–80°, most intense first:
d 2.612, I = 100, hkl 1 1 1
d 2.502, I = 82, hkl 1 2 0
d 1.918, I = 79, hkl 2 1 1
d 2.923, I = 46, hkl 1 0 1
d 1.713, I = 36, hkl 0 3 1
d 1.821, I = 31, hkl 0 0 2
d 1.473, I = 31, hkl 1 2 2
d 3.747, I = 17, hkl 1 1 0
d 1.617, I = 16, hkl 1 3 1
d 1.251, I = 15, hkl 2 4 0

Cell and atoms:
Unit cell a=4.8959 b=5.8213 c=3.6429 alpha=90.00 beta=90.00 gamma=90.00
Space group Pnnm (No. 58)
Inequivalent atoms, fractional coordinates:
Co1 0.0000 0.0000 0.0000 (multiplicity 2)
Se1 0.2181 0.3691 0.0000 (multiplicity 4)